Diffraction record for Re2TeRhPb. The PXRD pattern is theoretical, not measured: it uses the PBE geometry in Alexandria and Cu Kα, 1.54184 Å.
No peak broadening, texture or thermal motion is included.

Structural model:
a = 4.799 Å, b = 4.799 Å, c = 5.304 Å
α = 90.00°, β = 90.00°, γ = 90.00°
Fractional positions:
1 Re 0.000 0.500 0.000
2 Re 0.500 0.000 0.000
3 Te 0.000 0.000 0.500
4 Rh 0.000 0.000 0.000
5 Pb 0.500 0.500 0.500

Largest 8 diffraction maxima, in order of rising 2θ, 10° ≤ 2θ ≤ 90°:
Position (°2θ)  Rel. int.
25.02  17
31.29  100
33.80  38
37.48  57
51.35  47
54.05  20
63.80  27
65.29  23

---

Diffraction record for Re3PbS6. The PXRD pattern is theoretical, not measured: it uses the PBE geometry in Alexandria and Cu Kα, 1.54184 Å.
No peak broadening, texture or thermal motion is included.

Structural model:
a = 9.484 Å, b = 9.484 Å, c = 11.935 Å
α = 90.18°, β = 90.18°, γ = 60.67°
Fractional positions:
1 Re 0.007 0.716 0.391
2 Re 0.102 0.898 0.500
3 Re 0.180 0.821 0.287
4 Re 0.231 0.588 0.550
5 Re 0.307 0.512 0.335
6 Re 0.403 0.692 0.444
7 Re 0.512 0.307 0.835
8 Re 0.588 0.231 0.050
9 Re 0.692 0.403 0.944
10 Re 0.716 0.007 0.891
11 Re 0.821 0.180 0.787
12 Re 0.898 0.102 0.000
13 Pb 0.348 0.831 0.925
14 Pb 0.475 0.968 0.208
15 Pb 0.831 0.348 0.425
16 Pb 0.968 0.475 0.708
17 S 0.094 0.647 0.199
18 S 0.136 0.432 0.440
19 S 0.157 0.976 0.111
20 S 0.261 0.442 0.725
21 S 0.275 0.978 0.397
22 S 0.315 0.765 0.636
23 S 0.405 0.505 0.985
24 S 0.432 0.136 0.940
25 S 0.442 0.261 0.225
26 S 0.459 0.625 0.248
27 S 0.505 0.405 0.485
28 S 0.625 0.459 0.748
29 S 0.647 0.094 0.699
30 S 0.663 0.678 0.493
31 S 0.678 0.663 0.993
32 S 0.717 0.755 0.843
33 S 0.755 0.717 0.343
34 S 0.765 0.315 0.136
35 S 0.783 0.951 0.086
36 S 0.906 0.999 0.347
37 S 0.951 0.783 0.586
38 S 0.976 0.157 0.611
39 S 0.978 0.275 0.897
40 S 0.999 0.906 0.847

Largest 8 diffraction maxima, in order of rising 2θ, 10° ≤ 2θ ≤ 90°:
Position (°2θ)  Rel. int.
10.81  42
13.03  100
14.85  16
18.49  14
20.14  17
24.85  10
29.46  11
32.43  12

---

Diffraction record for Re3PbSe6. The PXRD pattern is theoretical, not measured: it uses the PBE geometry in Alexandria and Cu Kα, 1.54184 Å.
No peak broadening, texture or thermal motion is included.

Structural model:
a = 9.849 Å, b = 9.849 Å, c = 12.388 Å
α = 90.22°, β = 90.22°, γ = 60.37°
Fractional positions:
1 Re 0.016 0.717 0.395
2 Re 0.103 0.897 0.500
3 Re 0.186 0.817 0.295
4 Re 0.228 0.598 0.553
5 Re 0.309 0.517 0.346
6 Re 0.398 0.695 0.451
7 Re 0.517 0.309 0.846
8 Re 0.598 0.228 0.053
9 Re 0.695 0.398 0.951
10 Re 0.717 0.016 0.895
11 Re 0.817 0.186 0.795
12 Re 0.897 0.103 0.000
13 Pb 0.365 0.822 0.933
14 Pb 0.467 0.977 0.204
15 Pb 0.822 0.365 0.433
16 Pb 0.977 0.467 0.704
17 Se 0.004 0.904 0.846
18 Se 0.104 0.639 0.200
19 Se 0.139 0.429 0.448
20 Se 0.162 0.975 0.115
21 Se 0.250 0.473 0.744
22 Se 0.277 0.984 0.401
23 Se 0.311 0.777 0.645
24 Se 0.402 0.508 0.998
25 Se 0.429 0.139 0.948
26 Se 0.470 0.620 0.255
27 Se 0.473 0.250 0.244
28 Se 0.508 0.402 0.498
29 Se 0.620 0.470 0.755
30 Se 0.639 0.104 0.700
31 Se 0.656 0.688 0.507
32 Se 0.688 0.656 0.007
33 Se 0.717 0.763 0.838
34 Se 0.763 0.717 0.338
35 Se 0.777 0.311 0.145
36 Se 0.793 0.941 0.090
37 Se 0.904 0.004 0.346
38 Se 0.941 0.793 0.590
39 Se 0.975 0.162 0.615
40 Se 0.984 0.277 0.901

Largest 8 diffraction maxima, in order of rising 2θ, 10° ≤ 2θ ≤ 90°:
Position (°2θ)  Rel. int.
10.39  48
12.58  100
14.30  14
17.69  10
19.36  10
34.14  9
35.22  10
46.11  11

---

Diffraction record for ReSiPb. The PXRD pattern is theoretical, not measured: it uses the PBE geometry in Alexandria and Cu Kα, 1.54184 Å.
No peak broadening, texture or thermal motion is included.

Structural model:
a = 3.286 Å, b = 3.286 Å, c = 10.384 Å
α = 90.00°, β = 90.00°, γ = 90.00°
Fractional positions:
1 Re 0.000 0.000 0.000
2 Re 0.500 0.500 0.500
3 Si 0.000 0.000 0.412
4 Si 0.500 0.500 0.912
5 Pb 0.000 0.000 0.702
6 Pb 0.500 0.500 0.202

Largest 8 diffraction maxima, in order of rising 2θ, 10° ≤ 2θ ≤ 90°:
Position (°2θ)  Rel. int.
28.49  61
34.55  23
37.75  100
38.76  56
52.89  33
55.97  20
67.47  24
69.50  54